The following is a theoretical XRD peak list of Pm4YH10. It was derived from a GGA-PBE-relaxed structure, using λ = 1.5418 Å (Cu Kα).
Lines closer than 0.1° are merged.

Peak list (8 most intense, 2θ = 10–90°, by angle)
d 3.100, I = 100
d 2.684, I = 49
d 1.898, I = 38
d 1.619, I = 44
d 1.549, I = 9
d 1.231, I = 9
d 1.200, I = 16
d 1.095, I = 10

Crystal structure
```
Pm4YH10
1.0
1.897 1.095 15.516
-1.897 1.095 15.516
0.000 -2.190 15.516
Pm Y H
4 1 10
direct
0.101 0.101 0.101 Pm
0.300 0.300 0.300 Pm
0.700 0.700 0.700 Pm
0.899 0.899 0.899 Pm
0.500 0.500 0.500 Y
0.051 0.051 0.051 H
0.152 0.152 0.152 H
0.249 0.249 0.249 H
0.350 0.350 0.350 H
0.452 0.452 0.452 H
0.548 0.548 0.548 H
0.650 0.650 0.650 H
0.751 0.751 0.751 H
0.848 0.848 0.848 H
0.949 0.949 0.949 H
```